For SnO2, a PBE-relaxed structure gives the simulated XRD peak list in this record (Cu Kα (λ = 1.5418 Å)).
Neutral-atom scattering factors, no anomalous dispersion.

Cell: 9.0469 9.0469 9.0469 Å, 90.00 90.00 90.00°
Space group Fd-3m (No. 227, origin choice 2)
Inequivalent atoms, fractional coordinates:
Sn 0.0000 0.0000 0.0000
O 0.0158 0.0158 0.2342

Largest 12 diffraction maxima, sorted by position, 2θ = 10–90°:
| d [Å] | 2theta | intensity | h k l |
| --- | --- | --- | --- |
| 5.223 | 17.0 | 100.0 | 1 1 1 |
| 2.728 | 32.8 | 48.1 | 3 1 1 |
| 2.612 | 34.3 | 33.1 | 2 2 2 |
| 2.262 | 39.9 | 46.9 | 4 0 0 |
| 2.076 | 43.6 | 18.6 | 3 3 1 |
| 1.741 | 52.6 | 21.4 | 5 1 1 |
| 1.599 | 57.6 | 29.9 | 4 4 0 |
| 1.529 | 60.5 | 20.6 | 5 3 1 |
| 1.364 | 68.8 | 18.3 | 6 2 2 |
| 1.306 | 72.4 | 9.9 | 4 4 4 |
| 1.267 | 75.0 | 11.3 | 5 5 1 |
| 1.178 | 81.8 | 11.3 | 5 5 3 |